No. 1
Starting from a cell relaxed with GGA-PBE, the powder XRD pattern of Yb5S9 was calculated for Cu Kα.
Kinematic intensities with the Lorentz-polarization factor, no thermal factor.

Most intense lines, 15° ≤ 2θ ≤ 90°, most intense first:
2theta	I/Imax
23.43	100
40.76	82
25.16	79
25.63	76
32.86	73
23.97	54
29.12	51
24.41	49

Atomic structure:
Unit cell a=8.671 b=8.869 c=9.692 alpha=71.88 beta=86.88 gamma=64.61
Space group P-1 (No. 2)
Symmetry-distinct sites (fractional):
Yb1 0.030 0.255 0.373 (multiplicity 2)
Yb2 0.161 0.704 0.188 (multiplicity 2)
Yb3 0.258 0.243 0.996 (multiplicity 2)
Yb4 0.363 0.734 0.845 (multiplicity 2)
Yb5 0.452 0.278 0.625 (multiplicity 2)
S1 0.069 0.398 0.600 (multiplicity 2)
S2 0.090 0.642 0.916 (multiplicity 2)
S3 0.120 0.005 0.956 (multiplicity 2)
S4 0.164 0.884 0.381 (multiplicity 2)
S5 0.283 0.353 0.225 (multiplicity 2)
S6 0.313 0.671 0.576 (multiplicity 2)
S7 0.379 0.148 0.425 (multiplicity 2)
S8 0.426 0.019 0.834 (multiplicity 2)
S9 0.498 0.622 0.141 (multiplicity 2)

=====

No. 2
Starting from a cell relaxed with GGA-PBE, the powder XRD pattern of Na3Tl3In8 was calculated for Cu Kα.
Kinematic intensities with the Lorentz-polarization factor, no thermal factor.

Most intense lines, 15° ≤ 2θ ≤ 90°, most intense first:
2theta	I/Imax
30.62	100
35.24	59
31.42	55
39.31	49
35.86	47
21.22	46
52.96	29
60.12	25

Atomic structure:
Unit cell a=5.009 b=12.131 c=13.384 alpha=90.00 beta=90.00 gamma=90.00
Space group Immm (No. 71)
Symmetry-distinct sites (fractional):
Na1 0.000 0.000 0.000 (multiplicity 2)
Na2 0.000 0.000 0.293 (multiplicity 4)
Tl1 0.000 0.174 0.500 (multiplicity 4)
Tl2 0.000 0.500 0.000 (multiplicity 2)
In1 0.000 0.267 0.152 (multiplicity 8)
In2 0.000 0.380 0.356 (multiplicity 8)

=====

No. 3
Starting from a cell relaxed with GGA-PBE, the powder XRD pattern of Na2Sr3Ca4 was calculated for Cu Kα.
Kinematic intensities with the Lorentz-polarization factor, no thermal factor.

Most intense lines, 15° ≤ 2θ ≤ 90°, most intense first:
2theta	I/Imax
27.17	100
28.53	88
26.91	51
15.85	34
33.23	30
33.44	27
48.97	19
48.86	18

Atomic structure:
Unit cell a=11.637 b=13.128 c=10.876 alpha=90.00 beta=100.97 gamma=90.00
Space group C2/c (No. 15)
Symmetry-distinct sites (fractional):
Na1 0.106 0.125 0.416 (multiplicity 8)
Sr1 0.000 0.117 0.750 (multiplicity 4)
Sr2 0.167 0.365 0.256 (multiplicity 8)
Ca1 0.061 0.377 0.590 (multiplicity 8)
Ca2 0.226 0.121 0.077 (multiplicity 8)

=====

No. 4
Starting from a cell relaxed with GGA-PBE, the powder XRD pattern of K2AsIO6 was calculated for Cu Kα.
Kinematic intensities with the Lorentz-polarization factor, no thermal factor.

Most intense lines, 15° ≤ 2θ ≤ 90°, most intense first:
2theta	I/Imax
31.65	100
22.23	47
45.37	40
56.37	37
66.10	23
51.08	19
75.14	16
70.68	9

Atomic structure:
Unit cell a=7.997 b=7.997 c=7.997 alpha=90.00 beta=90.00 gamma=90.00
Space group Fm-3m (No. 225)
Symmetry-distinct sites (fractional):
K1 0.250 0.250 0.250 (multiplicity 8)
As1 0.000 0.000 0.000 (multiplicity 4)
I1 0.000 0.000 0.500 (multiplicity 4)
O1 0.000 0.000 0.241 (multiplicity 24)

=====

No. 5
Starting from a cell relaxed with GGA-PBE, the powder XRD pattern of Zr9Ni4S was calculated for Cu Kα.
Kinematic intensities with the Lorentz-polarization factor, no thermal factor.

Most intense lines, 15° ≤ 2θ ≤ 90°, most intense first:
2theta	I/Imax
39.06	100
38.57	65
32.48	62
40.54	58
42.97	54
64.89	39
34.21	34
67.64	26

Atomic structure:
Unit cell a=8.4153 b=8.4153 c=8.4310 alpha=90.00 beta=90.00 gamma=120.00
Space group P6_3/mmc (No. 194)
Symmetry-distinct sites (fractional):
Zr1 0.0691 0.5345 0.2500 (multiplicity 6)
Zr2 0.1922 0.3845 0.5560 (multiplicity 12)
Ni1 0.0000 0.0000 0.0000 (multiplicity 2)
Ni2 0.1021 0.2042 0.2500 (multiplicity 6)
S1 0.3333 0.6667 0.7500 (multiplicity 2)

=====

No. 6
Starting from a cell relaxed with GGA-PBE, the powder XRD pattern of La20Mn8Te7C12 was calculated for Cu Kα.
Kinematic intensities with the Lorentz-polarization factor, no thermal factor.

Most intense lines, 15° ≤ 2θ ≤ 90°, most intense first:
2theta	I/Imax
28.26	100
32.74	56
32.27	39
30.82	29
42.30	26
46.98	24
75.80	18
55.73	18

Atomic structure:
Unit cell a=16.412 b=16.412 c=16.412 alpha=90.00 beta=90.00 gamma=90.00
Space group Fm-3m (No. 225)
Symmetry-distinct sites (fractional):
La1 0.000 0.171 0.171 (multiplicity 48)
La2 0.136 0.136 0.364 (multiplicity 32)
Mn1 0.197 0.197 0.197 (multiplicity 32)
Te1 0.000 0.000 0.000 (multiplicity 4)
Te2 0.000 0.000 0.286 (multiplicity 24)
C1 0.106 0.250 0.250 (multiplicity 48)

=====

No. 7
Starting from a cell relaxed with GGA-PBE, the powder XRD pattern of LaNd5Y12 was calculated for Cu Kα.
Kinematic intensities with the Lorentz-polarization factor, no thermal factor.

Most intense lines, 15° ≤ 2θ ≤ 90°, most intense first:
2theta	I/Imax
30.29	100
35.08	34
50.49	29
59.99	28
35.18	17
60.13	14
63.00	12
84.76	9

Atomic structure:
Unit cell a=10.830 b=5.117 c=10.842 alpha=90.00 beta=90.15 gamma=90.00
Space group P2/m (No. 10)
Symmetry-distinct sites (fractional):
La1 0.000 0.000 0.000 (multiplicity 1)
Nd1 0.168 0.500 0.832 (multiplicity 2)
Nd2 0.333 0.000 0.667 (multiplicity 2)
Nd3 0.500 0.500 0.500 (multiplicity 1)
Y1 0.001 0.000 0.335 (multiplicity 2)
Y2 0.166 0.500 0.499 (multiplicity 2)
Y3 0.168 0.500 0.168 (multiplicity 2)
Y4 0.332 0.000 0.332 (multiplicity 2)
Y5 0.335 0.000 0.001 (multiplicity 2)
Y6 0.499 0.500 0.166 (multiplicity 2)

=====

Which formula does entry 3 have?
Na2Sr3Ca4

=====

Number 7 is which compound?
LaNd5Y12

=====

Which formula does entry 4 have?
K2AsIO6